Theoretical XRD peak list
Compound: CeSe2
Radiation: Cu Kα
Structure: a GGA-PBE-relaxed structure
Kinematic intensities with the Lorentz-polarization factor, no thermal factor.

Cell and atoms:
```
data_CeSe2
_cell_length_a 5.567
_cell_length_b 5.567
_cell_length_c 13.670
_cell_angle_alpha 90.00
_cell_angle_beta 90.00
_cell_angle_gamma 90.00
_symmetry_space_group_name_H-M 'I 41/a m d'
_symmetry_Int_Tables_number 141
loop_
_symmetry_equiv_pos_as_xyz
'x,y,z'
'-x,-y,-z'
'-y+1/4,x+3/4,z+1/4'
'y+1/4,-x+3/4,-z+1/4'
'-x+1/2,-y,z+1/2'
'x+1/2,y,-z+1/2'
'y+1/4,-x+1/4,z+3/4'
'-y+1/4,x+1/4,-z+3/4'
'x,-y,-z'
'-x,y,z'
'-y+1/4,-x+1/4,-z+3/4'
'y+1/4,x+1/4,z+3/4'
'-x+1/2,y,-z+1/2'
'x+1/2,-y,z+1/2'
'y+1/4,x+3/4,-z+1/4'
'-y+1/4,-x+3/4,z+1/4'
'x+1/2,y+1/2,z+1/2'
'-x+1/2,-y+1/2,-z+1/2'
'-y+3/4,x+1/4,z+3/4'
'y+3/4,-x+1/4,-z+3/4'
'-x,-y+1/2,z'
'x,y+1/2,-z'
'y+3/4,-x+3/4,z+1/4'
'-y+3/4,x+3/4,-z+1/4'
'x+1/2,-y+1/2,-z+1/2'
'-x+1/2,y+1/2,z+1/2'
'-y+3/4,-x+3/4,-z+1/4'
'y+3/4,x+3/4,z+1/4'
'-x,y+1/2,-z'
'x,-y+1/2,z'
'y+3/4,x+1/4,-z+3/4'
'-y+3/4,-x+1/4,z+3/4'
loop_
_atom_site_label
_atom_site_fract_x
_atom_site_fract_y
_atom_site_fract_z
Ce1 0.000 0.250 0.375
Se1 0.000 0.250 0.167
```

Top 10 peaks for 2θ from 15° to 90°, by angle:
| 2θ (°) | I/Imax | hkl |
| --- | --- | --- |
| 17.20 | 100.0 | 1 0 1 |
| 26.07 | 27.2 | 0 0 4 |
| 32.16 | 58.5 | 2 0 0 |
| 36.65 | 69.4 | 1 0 5 |
| 41.86 | 30.4 | 2 0 4 |
| 46.09 | 30.5 | 2 2 0 |
| 49.52 | 33.2 | 2 1 5 |
| 53.75 | 14.5 | 2 2 4 |
| 67.24 | 12.8 | 4 0 0 |
| 69.99 | 16.1 | 3 2 5 |